Entry 1:
Simulated X-ray diffraction stick pattern
Compound: Ba4Y2Cu5PdO14
Radiation: a wavelength of 1.5418 Å
Structure: a GGA-PBE-relaxed structure
Lines closer than 0.1° are merged.

Structure:
Cell: 12.552 12.520 5.508 Å, 77.63 76.99 25.38°
Sites, in units of the cell vectors:
Ba1 0.092 0.092 0.408
Ba2 0.408 0.408 0.092
Ba3 0.592 0.592 0.908
Ba4 0.908 0.908 0.592
Y1 0.250 0.250 0.250
Y2 0.750 0.750 0.750
Cu1 0.000 0.000 0.000
Cu2 0.177 0.177 0.823
Cu3 0.322 0.322 0.678
Cu4 0.678 0.678 0.322
Cu5 0.823 0.823 0.177
Pd1 0.500 0.500 0.500
O1 0.059 0.560 0.941
O2 0.060 0.561 0.439
O3 0.080 0.080 0.920
O4 0.241 0.759 0.241
O5 0.416 0.416 0.584
O6 0.439 0.940 0.060
O7 0.440 0.941 0.560
O8 0.560 0.059 0.440
O9 0.561 0.060 0.940
O10 0.584 0.584 0.416
O11 0.759 0.241 0.759
O12 0.920 0.920 0.080
O13 0.940 0.439 0.561
O14 0.941 0.440 0.059

Top 12 peaks for 10 to 90 degrees two-theta, sorted by position:
2θ = 31.97°, I 90
2θ = 32.42°, I 100
2θ = 32.52°, I 96
2θ = 39.84°, I 18
2θ = 45.68°, I 17
2θ = 46.01°, I 30
2θ = 47.30°, I 27
2θ = 57.19°, I 33
2θ = 57.40°, I 38
2θ = 58.24°, I 32
2θ = 68.12°, I 17
2θ = 78.47°, I 15

Entry 2:
Simulated X-ray diffraction stick pattern
Compound: Pm2Nd7Sc
Radiation: a wavelength of 1.5418 Å
Structure: a GGA-PBE-relaxed structure
Lines closer than 0.1° are merged.

Structure:
Cell: 15.001 15.001 3.469 Å, 90.00 90.00 154.01°
Sites, in units of the cell vectors:
Pm1 0.203 0.797 0.000
Pm2 0.797 0.203 0.000
Nd1 0.000 0.000 0.000
Nd2 0.164 0.357 0.000
Nd3 0.311 0.689 0.500
Nd4 0.357 0.164 0.000
Nd5 0.643 0.836 0.000
Nd6 0.689 0.311 0.500
Nd7 0.836 0.643 0.000
Sc1 0.500 0.500 0.500

Top 12 peaks for 10 to 90 degrees two-theta, sorted by position:
2θ = 25.68°, I 35
2θ = 27.13°, I 28
2θ = 29.14°, I 88
2θ = 30.58°, I 86
2θ = 31.66°, I 26
2θ = 32.28°, I 73
2θ = 32.82°, I 100
2θ = 39.24°, I 39
2θ = 40.35°, I 24
2θ = 50.85°, I 19
2θ = 62.23°, I 22
2θ = 63.23°, I 21

Entry 3:
Simulated X-ray diffraction stick pattern
Compound: V7Mo3W2
Radiation: a wavelength of 1.5418 Å
Structure: a GGA-PBE-relaxed structure
Lines closer than 0.1° are merged.

Structure:
Cell: 10.484 10.484 4.238 Å, 90.00 90.00 156.14°
Sites, in units of the cell vectors:
V1 0.000 0.000 0.000
V2 0.074 0.926 0.500
V3 0.281 0.719 0.000
V4 0.426 0.574 0.000
V5 0.574 0.426 0.000
V6 0.719 0.281 0.000
V7 0.926 0.074 0.500
Mo1 0.348 0.652 0.500
Mo2 0.500 0.500 0.500
Mo3 0.652 0.348 0.500
W1 0.147 0.853 0.000
W2 0.853 0.147 0.000

Top 12 peaks for 10 to 90 degrees two-theta, sorted by position:
2θ = 17.29°, I 23
2θ = 20.96°, I 8
2θ = 22.70°, I 9
2θ = 26.06°, I 12
2θ = 29.80°, I 22
2θ = 32.31°, I 29
2θ = 41.67°, I 29
2θ = 42.67°, I 27
2θ = 42.93°, I 100
2θ = 61.17°, I 18
2θ = 76.93°, I 17
2θ = 78.30°, I 16